Entry 1:
The following is a calculated X-ray diffraction stick pattern of Li3Cu2W4O16. It was derived from a cell relaxed with GGA+U, using Cu Kα (weighted mean of Kα1 and Kα2).
Intensities are scaled so that the largest is 1000.

Top 10 peaks for 2θ from 10° to 80°, sorted by position:
h k l  two_theta  I_rel
1 1 0  18.2  1000
1 0 -1  20.9  560
0 0 2  23.2  367
1 -1 0  24.3  412
1 1 2  24.4  733
1 2 1  26.9  500
0 2 0  28.6  566
2 0 0  32.3  582
0 1 3  34.0  379
2 3 3  48.0  332

Cell lengths 5.907, 6.878, 8.176 Å; angles 70.56, 77.58, 70.97 degrees
Space group P1 (No. 1)
One atom of each set of equivalent atoms:
Li  0.000  0.000  0.000 x1
Li  0.129  0.688  0.742 x1
Li  0.503  0.488  0.494 x1
Cu  0.068  0.838  0.367 x1
Cu  0.566  0.348  0.874 x1
W  0.035  0.385  0.168 x1
W  0.091  0.295  0.566 x1
W  0.542  0.891  0.666 x1
W  0.594  0.799  0.071 x1
O  0.046  0.103  0.191 x1
O  0.107  0.574  0.549 x1
O  0.207  0.981  0.592 x1
O  0.231  0.435  0.955 x1
O  0.268  0.336  0.314 x1
O  0.352  0.860  0.926 x1
O  0.404  0.747  0.285 x1
O  0.422  0.204  0.644 x1
O  0.520  0.608  0.693 x1
O  0.605  0.078  0.037 x1
O  0.717  0.487  0.081 x1
O  0.740  0.919  0.461 x1
O  0.784  0.825  0.810 x1
O  0.843  0.359  0.427 x1
O  0.896  0.257  0.781 x1
O  0.921  0.708  0.148 x1

Entry 2:
The following is a calculated X-ray diffraction stick pattern of CrFeHgF6. It was derived from a cell relaxed with GGA+U, using Cu Kα (weighted mean of Kα1 and Kα2).
Intensities are scaled so that the largest is 1000.

Top 10 peaks for 2θ from 10° to 80°, sorted by position:
h k l  two_theta  I_rel
1 0 0  19.1  164
1 0 2  23.6  1000
0 0 4  27.6  107
1 1 0  33.4  194
1 0 4  33.8  130
2 0 2  41.3  179
1 1 4  43.8  325
1 0 6  46.5  134
2 1 2  54.1  198
2 0 6  58.4  101

Cell lengths 5.3688, 5.3688, 12.9267 Å; angles 90.00, 90.00, 120.00 degrees
Space group P-31c (No. 163)
One atom of each set of equivalent atoms:
Cr  0.3333  0.6667  0.2500 x2
Fe  0.3333  0.6667  0.7500 x2
Hg  0.0000  0.0000  0.0000 x2
F  0.0022  0.3812  0.1693 x12